# 1
PaNi2S4: computed X-ray diffraction stick pattern (CuKα), based on DFT lattice parameters and positions (GGA-PBE).

Structure:
```
PaNi2S4
1.0
1.8669 -5.5850 0.0000
1.8669 5.5850 0.0000
0.0000 0.0000 11.2709
Pa Ni S
2 4 8
Cartesian
1.8669 4.2405 8.4532
1.8669 -4.2405 2.8177
1.8669 1.5055 6.4315
1.8669 1.5055 10.4749
1.8669 -1.5055 0.7960
1.8669 -1.5055 4.8394
0.0000 0.0000 0.0000
0.0000 0.0000 5.6354
1.8669 2.5299 1.2249
1.8669 2.5299 4.4106
1.8669 0.5985 8.4532
1.8669 -0.5985 2.8177
1.8669 -2.5299 6.8603
1.8669 -2.5299 10.0460
```

The 12 most intense peaks (10° ≤ 2θ ≤ 90°), in order of rising 2θ:
2θ/deg	I_rel
15.7	32
17.7	79
26.4	68
28.6	100
29.8	44
35.0	89
37.7	72
40.9	29
47.8	34
48.8	27
55.1	28
57.5	29



# 2
Sm2Ga5Ir: computed X-ray diffraction stick pattern (CuKα), based on DFT lattice parameters and positions (GGA-PBE).

Structure:
```
Sm2Ga5Ir
1.0
-3.0754 3.0754 4.4392
3.0754 -3.0754 4.4392
3.0754 3.0754 -4.4392
Sm Ga Ir
2 5 1
Cartesian
3.0754 0.0000 0.0000
0.0000 3.0754 0.0000
0.0000 0.0000 0.1892
1.7617 1.7617 -2.2402
1.3137 -1.3137 2.1990
-1.3137 1.3137 2.1990
1.3137 1.3137 2.1990
0.0000 0.0000 6.6237
```

The 12 most intense peaks (10° ≤ 2θ ≤ 90°), in order of rising 2θ:
2θ/deg	I_rel
17.5	30
28.7	100
29.0	23
34.1	42
35.5	61
40.6	38
41.5	63
45.0	27
45.4	21
51.3	31
59.5	42
75.2	18



# 3
TlCl: computed X-ray diffraction stick pattern (CuKα), based on DFT lattice parameters and positions (GGA-PBE).

Structure:
```
TlCl
1.0
4.4818 0.0000 0.0000
-2.2409 3.8813 0.0000
0.0000 0.0000 7.8943
Tl Cl
2 2
Cartesian
0.0000 0.0000 0.0000
0.0000 0.0000 3.9471
0.0000 2.5876 1.9736
2.2409 1.2938 5.9207
```

The 12 most intense peaks (10° ≤ 2θ ≤ 90°), in order of rising 2θ:
2θ/deg	I_rel
22.5	22
22.9	81
32.3	100
40.2	32
46.6	22
46.8	13
52.0	19
52.5	26
62.7	17
63.4	11
68.2	24
81.8	11